(1)
Calculated X-ray powder pattern of Ir3S8 for Cu Kα X-rays, from a cell relaxed with GGA-PBE.

Principal peaks in the range 10° ≤ 2θ ≤ 90°, sorted by position:
d/Å	I/Imax	(hkl)
5.698	50	1 0 1
4.047	28	0 1 2
3.319	28	0 0 3
3.281	77	0 2 1
2.849	100	2 0 2
2.540	31	2 1 1
2.023	34	0 2 4
2.006	34	2 2 0
1.717	53	2 2 3
1.711	25	4 0 1

```
data_Ir3S8
_symmetry_space_group_name_H-M 'R -3'
_symmetry_Int_Tables_number 148
_symmetry_space_group_name_Hall '-R 3'
_cell_length_a 8.0245
_cell_length_b 8.0245
_cell_length_c 9.9557
_cell_angle_alpha 90.00
_cell_angle_beta 90.00
_cell_angle_gamma 120.00
loop_
_atom_site_label
_atom_site_type_symbol
_atom_site_fract_x
_atom_site_fract_y
_atom_site_fract_z
Ir1 Ir 0.0000 0.5000 0.0000
S1 S 0.0000 0.0000 0.3734
S2 S 0.0209 0.7581 0.8693
```


(2)
Calculated X-ray powder pattern of MgW for Cu Kα X-rays, from a cell relaxed with GGA-PBE.

Principal peaks in the range 10° ≤ 2θ ≤ 90°, sorted by position:
d/Å	I/Imax	(hkl)
7.916	100	0 0 1
5.773	21	1 0 0
5.145	8	1 0 -1
2.459	7	2 1 -1
2.343	21	0 2 0
2.299	27	0 1 3
2.255	25	2 1 -2
2.247	35	2 1 1
1.823	9	0 1 4
1.334	9	2 3 -2

```
data_MgW
_symmetry_space_group_name_H-M 'P 1 21/m 1'
_symmetry_Int_Tables_number 11
_cell_length_a 5.877
_cell_length_b 4.685
_cell_length_c 8.058
_cell_angle_alpha 90.00
_cell_angle_beta 100.78
_cell_angle_gamma 90.00
loop_
_symmetry_equiv_pos_as_xyz
'x,y,z'
'-x,-y,-z'
'-x,y+1/2,-z'
'x,-y+1/2,z'
loop_
_atom_site_label
_atom_site_type_symbol
_atom_site_fract_x
_atom_site_fract_y
_atom_site_fract_z
Mg1 Mg 0.055 0.250 0.214
Mg2 Mg 0.112 0.750 0.430
Mg3 Mg 0.397 0.250 0.568
W1 W 0.251 0.250 0.902
W2 W 0.298 0.750 0.095
W3 W 0.452 0.750 0.805
```


(3)
Calculated X-ray powder pattern of SrTa2O6 for Cu Kα X-rays, from a cell relaxed with GGA-PBE.

Principal peaks in the range 10° ≤ 2θ ≤ 90°, sorted by position:
d/Å	I/Imax	(hkl)
3.984	33	0 0 2
3.935	66	1 0 0
2.800	100	1 0 2
2.782	50	1 1 0
1.992	15	0 0 4
1.968	31	2 0 0
1.760	14	2 1 0
1.620	20	1 1 4
1.610	40	2 1 2
1.400	18	2 0 4

```
data_SrTa2O6
_symmetry_space_group_name_H-M 'P 4/m m m'
_symmetry_Int_Tables_number 123
_symmetry_space_group_name_Hall '-P 4 2'
_cell_length_a 3.935
_cell_length_b 3.935
_cell_length_c 7.969
_cell_angle_alpha 90.00
_cell_angle_beta 90.00
_cell_angle_gamma 90.00
loop_
_atom_site_label
_atom_site_type_symbol
_atom_site_fract_x
_atom_site_fract_y
_atom_site_fract_z
Sr1 Sr 0.000 0.000 0.000
Ta1 Ta 0.500 0.500 0.260
O1 O 0.000 0.500 0.233
O2 O 0.500 0.500 0.000
O3 O 0.500 0.500 0.500
```


(4)
Calculated X-ray powder pattern of CsTe4PdAu3 for Cu Kα X-rays, from a cell relaxed with GGA-PBE.

Principal peaks in the range 10° ≤ 2θ ≤ 90°, sorted by position:
d/Å	I/Imax	(hkl)
6.896	33	1 0 0
3.981	91	1 1 1
3.448	12	2 0 0
2.438	100	2 2 0
2.079	44	3 1 1
1.913	13	3 2 0
1.724	15	4 0 0
1.582	15	3 3 1
1.408	28	4 2 2
1.166	13	5 3 1

```
data_CsTe4PdAu3
_symmetry_space_group_name_H-M 'P -4 3 m'
_symmetry_Int_Tables_number 215
_symmetry_space_group_name_Hall 'P -4 2 3'
_cell_length_a 6.896
_cell_length_b 6.896
_cell_length_c 6.896
_cell_angle_alpha 90.00
_cell_angle_beta 90.00
_cell_angle_gamma 90.00
loop_
_atom_site_label
_atom_site_type_symbol
_atom_site_fract_x
_atom_site_fract_y
_atom_site_fract_z
Cs1 Cs 0.000 0.000 0.000
Te1 Te 0.285 0.285 0.285
Pd1 Pd 0.500 0.500 0.500
Au1 Au 0.000 0.500 0.500
```